Calculated powder X-ray diffraction pattern
Compound: K2InAuF6
Radiation: Cu Kα X-rays
Structure: DFT lattice parameters and positions (PBE)
Lines closer than 0.1° are merged.

The 10 most intense peaks (10 to 90 degrees two-theta), in order of rising 2θ:
2θ (°)  d/Å  I (rel.)
19.49  4.554  66
27.70  3.220  100
39.58  2.277  38
44.48  2.037  32
48.99  1.859  41
57.21  1.610  24
61.04  1.518  15
64.73  1.440  19
78.60  1.217  21
88.52  1.105  9

Crystal structure
a = 9.109 Å, b = 9.109 Å, c = 9.109 Å
α = 90.00°, β = 90.00°, γ = 90.00°
Space group Fm-3m (No. 225)
One atom of each set of equivalent atoms:
K  0.250  0.250  0.250 [8 per cell]
In  0.000  0.000  0.000 [4 per cell]
Au  0.000  0.000  0.500 [4 per cell]
F  0.000  0.000  0.231 [24 per cell]